Structure and theoretical powder diffraction line list of Na2YHfP3O12 (the PBE geometry in the Materials Project; Cu Ka).
Kinematic intensities with the Lorentz-polarization factor, no thermal factor.

Top 8 peaks for 2θ from 5° to 70°, in order of rising 2θ:
6.545 Å, rel. 69; 4.703 Å, rel. 100; 4.562 Å, rel. 71; 4.527 Å, rel. 40; 3.266 Å, rel. 37; 2.969 Å, rel. 82; 2.959 Å, rel. 40; 2.620 Å, rel. 37

Structure:
Cell: 9.124 9.124 9.443 Å, 119.13 119.13 59.50°
Element x y z (fractional)
Na 0.003 0.502 0.252
Na 0.112 0.888 0.500
Na 0.502 0.003 0.752
Na 0.888 0.112 0.000
Y 0.152 0.639 0.693
Y 0.639 0.152 0.193
Hf 0.362 0.851 0.302
Hf 0.851 0.362 0.802
P 0.045 0.243 0.492
P 0.243 0.045 0.992
P 0.459 0.553 0.499
P 0.553 0.459 0.999
P 0.748 0.964 0.503
P 0.964 0.748 0.003
O 0.004 0.271 0.650
O 0.068 0.218 0.979
O 0.078 0.401 0.513
O 0.130 0.778 0.166
O 0.211 0.891 0.829
O 0.218 0.068 0.479
O 0.271 0.004 0.150
O 0.283 0.593 0.518
O 0.394 0.484 0.840
O 0.401 0.078 0.013
O 0.437 0.726 0.481
O 0.484 0.394 0.340
O 0.513 0.626 0.159
O 0.578 0.941 0.478
O 0.593 0.283 0.018
O 0.626 0.513 0.659
O 0.726 0.437 0.981
O 0.727 0.992 0.347
O 0.778 0.130 0.666
O 0.793 0.914 0.020
O 0.891 0.211 0.329
O 0.914 0.793 0.520
O 0.941 0.578 0.978
O 0.992 0.727 0.847